Starting from DFT lattice parameters and positions (GGA+U), the powder XRD pattern of KSrSmWO6 was simulated for Cu Kα (λ = 1.5418 Å).
Neutral-atom scattering factors, no anomalous dispersion.

Crystal structure
```
data_KSrSmWO6
_symmetry_space_group_name_H-M 'F -4 3 m'
_symmetry_Int_Tables_number 216
_symmetry_space_group_name_Hall 'F -4 2 3'
_cell_length_a 8.494
_cell_length_b 8.494
_cell_length_c 8.494
_cell_angle_alpha 90.00
_cell_angle_beta 90.00
_cell_angle_gamma 90.00
loop_
_atom_site_label
_atom_site_type_symbol
_atom_site_fract_x
_atom_site_fract_y
_atom_site_fract_z
_atom_site_occupancy
K1 K 0.000 0.000 0.000 1
Sr1 Sr 0.000 0.000 0.500 1
Sm1 Sm 0.250 0.250 0.750 1
W1 W 0.250 0.250 0.250 1
O1 O 0.020 0.250 0.250 1
```

Main lines, by intensity (2θ = 10–80°):
| two_theta | Rel. int. | h k l |
| --- | --- | --- |
| 29.75 | 100 | 2 2 0 |
| 52.80 | 40 | 4 2 2 |
| 20.92 | 36 | 2 0 0 |
| 42.57 | 31 | 4 0 0 |
| 61.78 | 19 | 4 4 0 |
| 70.06 | 18 | 6 2 0 |
| 47.89 | 16 | 4 2 0 |
| 65.99 | 8 | 6 0 0 |
| 77.92 | 6 | 4 4 4 |
| 18.09 | 5 | 1 1 1 |
| 36.65 | 2 | 2 2 2 |
| 35.04 | 2 | 3 1 1 |